Starting from DFT lattice parameters and positions (PBE), the powder diffraction line list of YCdB was computed for λ = 1.5418 Å (Cu Kα).
Lines closer than 0.1° are merged.

Cell and atoms:
```
data_YCdB
_symmetry_space_group_name_H-M 'P -1'
_symmetry_Int_Tables_number 2
_cell_length_a 3.8238
_cell_length_b 4.9496
_cell_length_c 7.0171
_cell_angle_alpha 99.90
_cell_angle_beta 90.27
_cell_angle_gamma 112.43
loop_
_symmetry_equiv_pos_as_xyz
'x,y,z'
'-x,-y,-z'
loop_
_atom_site_label
_atom_site_type_symbol
_atom_site_fract_x
_atom_site_fract_y
_atom_site_fract_z
Y1 Y 0.1158 0.2356 0.3277
Cd1 Cd 0.3656 0.7321 0.0772
B1 B 0.4209 0.8427 0.4295
```

Peak list (10 most intense, 10° ≤ 2θ ≤ 80°, by angle)
2θ = 12.8°, I 22.8; 2θ = 29.3°, I 100.0; 2θ = 29.6°, I 41.2; 2θ = 35.7°, I 19.9; 2θ = 37.9°, I 14.8; 2θ = 38.4°, I 29.2; 2θ = 38.6°, I 28.6; 2θ = 40.1°, I 24.9; 2θ = 47.6°, I 16.3; 2θ = 64.1°, I 11.7